No. 1
This entry pairs a crystal structure of Na8MgMn2O8 with its simulated X-ray powder pattern. Radiation: CuKα. Structure: a DFT-relaxed cell (GGA+U, the Materials Project).
Neutral-atom scattering factors, no anomalous dispersion.

Largest 6 diffraction maxima, low angle first, 15° ≤ 2θ ≤ 90°:
d 5.456, 16.25 deg, intensity 81
d 3.991, 22.28 deg, intensity 100
d 2.660, 33.70 deg, intensity 81
d 2.392, 37.61 deg, intensity 83
d 2.315, 38.91 deg, intensity 96
d 2.304, 39.09 deg, intensity 99

Structural model:
a = 5.829 Å, b = 5.838 Å, c = 8.169 Å
α = 91.05°, β = 101.39°, γ = 106.73°
Space group P1 (No. 1)
Asymmetric unit:
Na 0.000 0.000 0.000
Na 0.003 0.394 0.420
Na 0.262 0.967 0.700
Na 0.401 0.421 0.251
Na 0.435 0.889 0.023
Na 0.513 0.930 0.371
Na 0.619 0.358 0.638
Na 0.800 0.434 0.033
Mg 0.770 0.810 0.682
Mn 0.189 0.440 0.812
Mn 0.994 0.893 0.335
O 0.002 0.664 0.824
O 0.142 0.687 0.237
O 0.278 0.144 0.443
O 0.367 0.266 0.955
O 0.465 0.681 0.762
O 0.755 0.675 0.450
O 0.799 0.074 0.211
O 0.905 0.161 0.725

=====

No. 2
This entry pairs a crystal structure of Na8MgMn2O8 with its simulated X-ray powder pattern. Radiation: CuKα. Structure: a DFT-relaxed cell (GGA+U, the Materials Project).
Neutral-atom scattering factors, no anomalous dispersion.

Largest 6 diffraction maxima, low angle first, 15° ≤ 2θ ≤ 90°:
d 4.990, 17.78 deg, intensity 100
d 4.838, 18.34 deg, intensity 75
d 2.850, 31.39 deg, intensity 44
d 2.807, 31.88 deg, intensity 59
d 2.389, 37.65 deg, intensity 69
d 2.045, 44.30 deg, intensity 47

Structural model:
a = 5.618 Å, b = 6.305 Å, c = 7.853 Å
α = 88.14°, β = 88.67°, γ = 88.17°
Space group P1 (No. 1)
Asymmetric unit:
Na 0.000 0.000 0.000
Na 0.020 0.514 0.169
Na 0.197 0.767 0.629
Na 0.384 0.378 0.466
Na 0.505 0.290 0.042
Na 0.540 0.082 0.742
Na 0.609 0.645 0.905
Na 0.866 0.131 0.424
Mg 0.778 0.701 0.413
Mn 0.031 0.326 0.738
Mn 0.378 0.842 0.244
O 0.032 0.858 0.278
O 0.347 0.435 0.761
O 0.417 0.939 0.016
O 0.511 0.916 0.462
O 0.561 0.569 0.241
O 0.889 0.356 0.954
O 0.942 0.039 0.704
O 0.972 0.458 0.504

=====

No. 3
This entry pairs a crystal structure of Na2MgMn2O8 with its simulated X-ray powder pattern. Radiation: CuKα. Structure: a DFT-relaxed cell (GGA+U, the Materials Project).
Neutral-atom scattering factors, no anomalous dispersion.

Largest 6 diffraction maxima, low angle first, 15° ≤ 2θ ≤ 90°:
d 5.028, 17.64 deg, intensity 36
d 4.839, 18.33 deg, intensity 42
d 4.076, 21.81 deg, intensity 100
d 3.021, 29.56 deg, intensity 46
d 2.979, 30.00 deg, intensity 55
d 2.679, 33.45 deg, intensity 37

Structural model:
a = 7.560 Å, b = 5.520 Å, c = 10.056 Å
α = 90.00°, β = 90.00°, γ = 90.00°
Space group Amm2 (No. 38)
Asymmetric unit:
Na 0.243 0.000 0.000
Mg 0.500 0.000 0.262
Mn 0.000 0.000 0.678
Mn 0.500 0.000 0.530
O 0.000 0.241 0.585
O 0.175 0.000 0.770
O 0.330 0.000 0.416
O 0.500 0.234 0.116